Na2GaMoF8: computed X-ray powder pattern (Cu Ka), based on DFT lattice parameters and positions (GGA+U).

Principal peaks in the range 2θ from 10° to 90°, sorted by position:
(hkl)  Position (°2θ)  I (rel.)
1 0 0  17.43  100
1 0 -1  24.23  70
1 0 1  25.25  49
1 2 0  32.63  58
1 2 -1  36.88  43
1 0 2  40.27  21
2 2 -1  48.25  49
1 2 2  49.35  15
2 0 2  51.85  15
0 2 3  61.58  15

Structure:
```
Na2GaMoF8
1.0
5.0845 0.0000 0.0000
0.0000 6.5174 0.0000
-0.2065 0.0000 5.0948
Na Ga Mo F
2 1 1 8
Direct
0.0000 0.2420 0.0000 Na
0.0000 0.7580 0.0000 Na
0.5000 0.0000 0.5000 Ga
0.5000 0.5000 0.5000 Mo
0.2109 0.5000 0.2060 F
0.2397 0.0000 0.2353 F
0.3231 0.2351 0.6723 F
0.3231 0.7649 0.6723 F
0.6769 0.2351 0.3277 F
0.6769 0.7649 0.3277 F
0.7603 0.0000 0.7647 F
0.7891 0.5000 0.7940 F
```